1.
Structure and calculated PXRD pattern of Sc3Cd (a cell relaxed with PBE; Cu Kα (λ = 1.5418 Å)).
No peak broadening, texture or thermal motion is included.

Cell and atoms:
abc: 3.297 4.470 6.342
angles: 90.00 90.00 90.00
Space group Pmmm (No. 47)
Symmetry-distinct sites (fractional):
Sc 0.000 0.000 0.000 x1
Sc 0.500 0.500 0.249 x2
Cd 0.000 0.000 0.500 x1

Main lines, sorted by position (10 to 90 degrees two-theta):
- 2θ = 13.96°, rel. 29.8, (0 0 1)
- 2θ = 33.78°, rel. 100.0, (1 1 0)
- 2θ = 34.68°, rel. 92.8, (0 1 2)
- 2θ = 39.43°, rel. 63.9, (1 0 2)
- 2θ = 40.35°, rel. 29.8, (0 2 0)
- 2θ = 57.69°, rel. 40.2, (1 2 2)


2.
Structure and calculated PXRD pattern of Tb3PrEr (a cell relaxed with PBE; Cu Kα (λ = 1.5418 Å)).
No peak broadening, texture or thermal motion is included.

Cell and atoms:
abc: 6.291 5.731 9.617
angles: 90.00 109.06 90.00
Space group P2_1/m (No. 11)
Symmetry-distinct sites (fractional):
Tb 0.134 0.250 0.098 x2
Tb 0.269 0.750 0.703 x2
Tb 0.335 0.250 0.501 x2
Pr 0.068 0.750 0.299 x2
Er 0.466 0.750 0.098 x2

Main lines, sorted by position (10 to 90 degrees two-theta):
- 2θ = 28.36°, rel. 23.7, (1 0 -3)
- 2θ = 31.21°, rel. 24.6, (0 2 0)
- 2θ = 32.45°, rel. 100.0, (1 1 2)
- 2θ = 50.21°, rel. 19.7, (3 0 1)
- 2θ = 56.33°, rel. 20.9, (1 3 2)
- 2θ = 61.06°, rel. 16.4, (2 1 -6)


3.
Structure and calculated PXRD pattern of PrNp2P3 (a cell relaxed with PBE; Cu Kα (λ = 1.5418 Å)).
No peak broadening, texture or thermal motion is included.

Cell and atoms:
abc: 8.076 11.423 24.210
angles: 90.00 90.00 90.00
Space group Fddd (No. 70, origin choice 2)
Symmetry-distinct sites (fractional):
Pr 0.125 0.125 0.042 x16
Np 0.125 0.125 0.374 x16
Np 0.125 0.125 0.540 x16
P 0.110 0.375 0.875 x16
P 0.118 0.368 0.706 x32

Main lines, sorted by position (10 to 90 degrees two-theta):
- 2θ = 27.05°, rel. 100.0, (2 2 0)
- 2θ = 31.33°, rel. 97.2, (0 4 0)
- 2θ = 44.90°, rel. 72.1, (4 0 0)
- 2θ = 53.21°, rel. 50.2, (4 2 6)
- 2θ = 55.78°, rel. 25.4, (4 4 0)
- 2θ = 74.29°, rel. 32.8, (2 8 6)


4.
Structure and calculated PXRD pattern of Ba2Nb15O32 (a cell relaxed with PBE; Cu Kα (λ = 1.5418 Å)).
No peak broadening, texture or thermal motion is included.

Cell and atoms:
abc: 7.8957 7.8957 36.2707
angles: 90.00 90.00 120.00
Space group R-3 (No. 148, hexagonal axes)
Symmetry-distinct sites (fractional):
Ba 0.0000 0.0000 0.1387 x6
Nb 0.0000 0.0000 0.3606 x6
Nb 0.0000 0.0000 0.5000 x3
Nb 0.0244 0.8069 0.0329 x18
Nb 0.0686 0.5895 0.9006 x18
O 0.0000 0.0000 0.2619 x6
O 0.0114 0.7952 0.5319 x18
O 0.0316 0.7985 0.9321 x18
O 0.0595 0.8230 0.7932 x18
O 0.0623 0.8266 0.3957 x18
O 0.0688 0.8288 0.6670 x18

Main lines, sorted by position (10 to 90 degrees two-theta):
- 2θ = 23.54°, rel. 52.1, (0 1 8)
- 2θ = 26.97°, rel. 81.7, (1 1 6)
- 2θ = 27.87°, rel. 100.0, (0 2 4)
- 2θ = 28.87°, rel. 56.7, (2 0 5)
- 2θ = 36.14°, rel. 50.5, (3 -1 4)
- 2θ = 49.84°, rel. 67.0, (1 2 14)